(1)
This entry pairs a crystal structure of K2HgHCl4 with its computed powder XRD pattern. Radiation: CuKα. Structure: a crystal structure in Alexandria, relaxed with GGA-PBE.
Peak positions follow from Bragg's law for the DFT cell and can differ from measured ones.

Top 10 peaks for 2θ = 5–70°, most intense first:
2theta, Rel. int., index
13.50, 100, 1 1 0
23.83, 81, 1 1 1
33.71, 44, 2 2 1
25.01, 31, 1 3 0
44.25, 26, 1 5 1
30.12, 24, 2 0 1
14.78, 22, 0 2 0
46.07, 18, 3 3 1
39.68, 17, 0 0 2
31.05, 15, 2 1 1

Cell and atoms:
Unit cell a=7.8363 b=11.9876 c=4.5427 alpha=90.00 beta=90.00 gamma=90.00
Space group Pbam (No. 55)
One atom of each set of equivalent atoms:
K (0.0928, 0.1807, 0.0000)
Hg (0.0000, 0.5000, 0.5000)
H (0.0000, 0.0000, 0.5000)
Cl (0.1199, 0.6913, 0.5000)
Cl (0.2283, 0.4413, 0.0000)

---

(2)
This entry pairs a crystal structure of HgH4NCl2 with its computed powder XRD pattern. Radiation: CuKα. Structure: a crystal structure in Alexandria, relaxed with GGA-PBE.
Peak positions follow from Bragg's law for the DFT cell and can differ from measured ones.

Top 10 peaks for 2θ = 5–70°, most intense first:
2theta, Rel. int., index
12.02, 100, 0 0 1
20.62, 66, 1 1 0
24.18, 43, 0 0 2
23.50, 42, 1 1 1
24.40, 34, 1 1 -1
19.71, 32, 0 1 0
19.85, 31, 1 0 0
22.97, 29, 0 1 1
31.28, 26, 1 1 2
34.10, 21, 1 -1 0

Cell and atoms:
Unit cell a=5.0329 b=5.0661 c=7.3674 alpha=87.96 beta=87.79 gamma=62.76
Space group P1 (No. 1)
One atom of each set of equivalent atoms:
Hg (0.0000, 0.0000, 0.0000)
H (0.3055, 0.3082, 0.4922)
H (0.3140, 0.6414, 0.4800)
H (0.4259, 0.4287, 0.6721)
H (0.6413, 0.3153, 0.4800)
N (0.4211, 0.4231, 0.5319)
Cl (0.0847, 0.0823, 0.3880)
Cl (0.4910, 0.4910, 0.9698)

---

(3)
This entry pairs a crystal structure of NaHgH2Cl3 with its computed powder XRD pattern. Radiation: CuKα. Structure: a crystal structure in Alexandria, relaxed with GGA-PBE.
Peak positions follow from Bragg's law for the DFT cell and can differ from measured ones.

Top 10 peaks for 2θ = 5–70°, most intense first:
2theta, Rel. int., index
12.52, 100, 1 0 1
25.69, 42, 1 1 2
8.89, 22, 0 0 2
21.41, 20, 0 1 1
34.53, 20, 2 1 3
25.28, 20, 1 0 5
30.10, 20, 1 1 4
24.91, 18, 0 1 3
46.30, 14, 0 1 9
32.02, 14, 2 1 1

Cell and atoms:
Unit cell a=7.5635 b=4.2428 c=19.8991 alpha=90.00 beta=90.00 gamma=90.00
Space group Pnma (No. 62)
One atom of each set of equivalent atoms:
Na (0.0017, 0.2500, 0.1822)
Hg (0.0559, 0.7500, 0.5869)
H (0.0467, 0.7500, 0.9462)
H (0.1332, 0.2500, 0.7525)
Cl (0.1321, 0.2500, 0.3153)
Cl (0.1974, 0.7500, 0.4789)
Cl (0.2118, 0.7500, 0.1423)

---

(4)
This entry pairs a crystal structure of HgPHCl2 with its computed powder XRD pattern. Radiation: CuKα. Structure: a crystal structure in Alexandria, relaxed with GGA-PBE.
Peak positions follow from Bragg's law for the DFT cell and can differ from measured ones.

Top 10 peaks for 2θ = 5–70°, most intense first:
2theta, Rel. int., index
36.29, 100, 1 1 1
17.01, 93, 1 0 0
34.41, 59, 2 0 0
31.82, 46, 1 0 1
24.15, 39, 1 1 0
62.87, 39, 3 1 1
47.56, 31, 2 1 1
38.62, 27, 2 1 0
49.46, 20, 2 2 0
44.07, 17, 2 0 1

Cell and atoms:
Unit cell a=5.2126 b=5.2126 c=3.3406 alpha=90.00 beta=90.00 gamma=90.00
Space group P4/mmm (No. 123)
One atom of each set of equivalent atoms:
Hg (0.0000, 0.0000, 0.0000)
P (0.5000, 0.5000, 0.0000)
H (0.5000, 0.5000, 0.5000)
Cl (0.0000, 0.5000, 0.5000)

---

(5)
This entry pairs a crystal structure of HgH2SCl2 with its computed powder XRD pattern. Radiation: CuKα. Structure: a crystal structure in Alexandria, relaxed with GGA-PBE.
Peak positions follow from Bragg's law for the DFT cell and can differ from measured ones.

Top 10 peaks for 2θ = 5–70°, most intense first:
2theta, Rel. int., index
13.42, 100, 1 1 0
30.57, 58, 2 2 1
19.46, 53, 1 1 1
16.96, 48, 2 0 0
25.24, 43, 0 2 1
31.15, 31, 3 1 1
39.98, 24, 3 1 2
43.07, 23, 4 2 1
31.43, 21, 1 1 2
33.17, 20, 2 0 2

Cell and atoms:
Unit cell a=10.4542 b=8.5108 c=6.3097 alpha=90.00 beta=90.00 gamma=90.00
Space group Cmc2_1 (No. 36)
One atom of each set of equivalent atoms:
Hg (0.0000, 0.1231, 0.0000)
H (0.0935, 0.2630, 0.5892)
S (0.0000, 0.3322, 0.7094)
Cl (0.1667, 0.1019, 0.3031)

---

(6)
This entry pairs a crystal structure of HoH2Cl6 with its computed powder XRD pattern. Radiation: CuKα. Structure: a crystal structure in Alexandria, relaxed with GGA-PBE.
Peak positions follow from Bragg's law for the DFT cell and can differ from measured ones.

Top 10 peaks for 2θ = 5–70°, most intense first:
2theta, Rel. int., index
10.53, 100, 1 1 0
14.22, 50, 2 0 0
35.68, 43, 3 3 1
15.56, 42, 1 1 -1
20.05, 41, 0 2 1
27.11, 40, 2 0 -2
25.77, 25, 2 2 1
22.80, 24, 3 1 0
28.15, 22, 1 3 1
43.73, 20, 5 3 -1

Cell and atoms:
Unit cell a=12.6041 b=11.3797 c=7.1343 alpha=90.00 beta=98.73 gamma=90.00
Space group C2/c (No. 15)
One atom of each set of equivalent atoms:
Ho (0.0000, 0.0908, 0.2500)
H (0.1210, 0.4500, 0.3671)
Cl (0.1137, 0.0707, 0.9636)
Cl (0.1200, 0.4344, 0.8562)
Cl (0.1244, 0.2621, 0.3849)

---

(7)
This entry pairs a crystal structure of HoH2ClO2 with its computed powder XRD pattern. Radiation: CuKα. Structure: a crystal structure in Alexandria, relaxed with GGA-PBE.
Peak positions follow from Bragg's law for the DFT cell and can differ from measured ones.

Top 10 peaks for 2θ = 5–70°, most intense first:
2theta, Rel. int., index
13.79, 100, 0 0 1
30.43, 48, 1 1 -1
37.58, 44, 0 1 2
33.71, 40, 1 1 1
22.46, 38, 1 0 1
28.85, 35, 1 1 0
29.24, 34, 2 0 0
50.35, 32, 3 1 -1
17.34, 27, 1 0 -1
43.46, 22, 2 1 -2

Cell and atoms:
Unit cell a=6.3104 b=3.5893 c=6.6358 alpha=90.00 beta=104.52 gamma=90.00
Space group P2_1/m (No. 11)
One atom of each set of equivalent atoms:
Ho (0.2218, 0.2500, 0.3945)
H (0.1240, 0.2500, 0.8050)
H (0.3753, 0.7500, 0.7355)
Cl (0.2718, 0.7500, 0.0768)
O (0.0403, 0.2500, 0.6591)
O (0.3953, 0.7500, 0.5938)

---

(8)
This entry pairs a crystal structure of HICl5 with its computed powder XRD pattern. Radiation: CuKα. Structure: a crystal structure in Alexandria, relaxed with GGA-PBE.
Peak positions follow from Bragg's law for the DFT cell and can differ from measured ones.

Top 10 peaks for 2θ = 5–70°, most intense first:
2theta, Rel. int., index
24.08, 100, 2 0 2
15.16, 89, 1 1 -1
16.03, 88, 1 1 1
15.27, 62, 0 0 2
16.98, 46, 2 0 0
21.68, 33, 2 0 -2
34.54, 31, 3 1 -3
33.39, 28, 1 3 0
37.27, 27, 1 3 2
27.57, 25, 1 1 3

Cell and atoms:
Unit cell a=10.5006 b=8.3314 c=11.6673 alpha=90.00 beta=95.94 gamma=90.00
Space group Cc (No. 9)
One atom of each set of equivalent atoms:
H (0.0000, 0.1705, 0.0000)
I (0.3522, 0.3053, 0.1661)
Cl (0.0779, 0.2307, 0.9309)
Cl (0.1843, 0.3566, 0.2932)
Cl (0.3196, 0.0173, 0.1838)
Cl (0.3577, 0.3987, 0.6266)
Cl (0.4856, 0.2599, 0.0084)

---

(9)
This entry pairs a crystal structure of KH2ICl8 with its computed powder XRD pattern. Radiation: CuKα. Structure: a crystal structure in Alexandria, relaxed with GGA-PBE.
Peak positions follow from Bragg's law for the DFT cell and can differ from measured ones.

Top 10 peaks for 2θ = 5–70°, most intense first:
2theta, Rel. int., index
14.16, 100, 0 1 1
27.54, 88, 1 2 0
13.73, 82, 1 0 0
31.13, 77, 1 1 3
15.98, 77, 1 1 1
11.27, 73, 0 0 1
16.13, 57, 1 0 1
13.37, 51, 0 1 0
17.03, 49, 1 1 0
27.65, 46, 2 0 0

Cell and atoms:
Unit cell a=6.8744 b=7.4078 c=8.7254 alpha=66.18 beta=73.83 gamma=72.60
Space group P-1 (No. 2)
One atom of each set of equivalent atoms:
K (0.0000, 0.0000, 0.0000)
H (0.4432, 0.2379, 0.2172)
I (0.0000, 0.5000, 0.5000)
Cl (0.0429, 0.4710, 0.7859)
Cl (0.1421, 0.8140, 0.3646)
Cl (0.3592, 0.2887, 0.4639)
Cl (0.4981, 0.2008, 0.0746)